KRbGeO3: theoretical X-ray diffraction stick pattern (copper Kα), based on a structure optimized by DFT (PBE).

Structural model:
```
data_KRbGeO3
_chemical_formula_sum 'K8 Rb8 Ge8 O24'
_symmetry_space_group_name_H-M 'P n m a'
_symmetry_Int_Tables_number 62
_symmetry_space_group_name_Hall '-P 2ac 2n'
_cell_length_a 13.433
_cell_length_b 5.685
_cell_length_c 11.849
_cell_angle_alpha 90.00
_cell_angle_beta 90.00
_cell_angle_gamma 90.00
loop_
_atom_site_label
_atom_site_fract_x
_atom_site_fract_y
_atom_site_fract_z
K1 0.002 0.250 0.097
K2 0.176 0.250 0.867
Rb1 0.062 0.750 0.584
Rb2 0.246 0.250 0.555
Ge1 0.057 0.750 0.268
Ge2 0.206 0.250 0.253
O1 0.033 0.750 0.123
O2 0.046 0.250 0.643
O3 0.135 0.000 0.311
O4 0.181 0.750 0.825
O5 0.210 0.250 0.105
```

The 12 most intense peaks (2θ from 10° to 90°), in order of rising 2θ:
| d (Å) | 2θ/deg | I_rel | h k l |
| --- | --- | --- | --- |
| 5.843 | 15.2 | 11 | 2 0 1 |
| 4.075 | 21.8 | 11 | 2 1 1 |
| 3.405 | 26.2 | 28 | 2 0 3 |
| 3.372 | 26.4 | 31 | 3 1 1 |
| 2.921 | 30.6 | 100 | 2 1 3 |
| 2.892 | 30.9 | 65 | 4 1 0 |
| 2.843 | 31.5 | 57 | 0 2 0 |
| 2.447 | 36.7 | 15 | 5 0 2 |
| 2.182 | 41.4 | 12 | 2 2 3 |
| 2.170 | 41.6 | 12 | 4 2 0 |
| 1.656 | 55.5 | 18 | 2 3 3 |
| 1.631 | 56.4 | 20 | 4 1 6 |